This entry pairs a crystal structure of Ba4CuO5 with its calculated powder diffractogram. Radiation: Cu Kα X-rays. Structure: a crystal structure in Alexandria, relaxed with PBE.
Neutral-atom scattering factors, no anomalous dispersion.

Crystal structure
a b c (Å): 7.2455 7.2455 10.4266
angles (deg): 129.54 129.54 31.28
Element x y z (fractional)
Ba 0.0887 0.0887 0.3203
Ba 0.2460 0.2460 0.1596
Ba 0.7540 0.7540 0.8404
Ba 0.9113 0.9113 0.6797
Cu 0.5000 0.5000 0.0000
O 0.0000 0.0000 0.0000
O 0.2517 0.2517 0.6594
O 0.4105 0.4105 0.1019
O 0.5895 0.5895 0.8981
O 0.7483 0.7483 0.3406

Largest 8 diffraction maxima, in order of rising 2θ, 2θ from 10° to 90°:
11.31°, rel. 30.0
24.34°, rel. 30.5
27.89°, rel. 38.0
28.12°, rel. 29.9
29.23°, rel. 100.0
30.46°, rel. 78.7
37.32°, rel. 30.7
41.92°, rel. 31.6